# 1
Diffraction record for Zn3B7IO13. The X-ray powder pattern is calculated, not measured: it uses a cell relaxed with GGA-PBE and Cu Kα, 1.54184 Å.

Top 6 peaks for 2θ = 10–90°, by angle:
| d [Å] | I_rel | (hkl) |
| --- | --- | --- |
| 6.117 | 35.1 | 2 0 0 |
| 3.058 | 100.0 | 4 0 0 |
| 2.736 | 93.0 | 4 2 0 |
| 2.163 | 65.0 | 4 4 0 |
| 1.766 | 30.7 | 4 4 4 |
| 1.368 | 32.6 | 8 4 0 |

Structural model:
```
data_Zn3B7IO13
_chemical_formula_sum 'Zn24 B56 I8 O104'
_cell_length_a 12.234
_cell_length_b 12.234
_cell_length_c 12.234
_cell_angle_alpha 90.00
_cell_angle_beta 90.00
_cell_angle_gamma 90.00
_space_group_name_H-M_alt 'F -4 3 c'
_space_group_IT_number 219
_space_group_name_Hall 'F -4a 2 3'
loop_
_atom_site_label
_atom_site_type_symbol
_atom_site_fract_x
_atom_site_fract_y
_atom_site_fract_z
Zn1 Zn 0.000 0.000 0.250
B1 B 0.000 0.250 0.250
B2 B 0.170 0.170 0.170
I1 I 0.000 0.000 0.000
O1 O 0.070 0.153 0.230
O2 O 0.250 0.250 0.250
```

=====

# 2
Diffraction record for BP4S3I3. The X-ray powder pattern is calculated, not measured: it uses a cell relaxed with GGA-PBE and Cu Kα, 1.54184 Å.

Top 6 peaks for 2θ = 10–90°, by angle:
| d [Å] | I_rel | (hkl) |
| --- | --- | --- |
| 6.156 | 45.8 | 0 2 0 |
| 5.849 | 49.7 | 2 1 0 |
| 4.317 | 53.9 | 1 0 2 |
| 3.603 | 96.3 | 1 3 1 |
| 3.323 | 51.3 | 4 0 0 |
| 3.262 | 100.0 | 2 3 1 |

Structural model:
```
data_BP4S3I3
_chemical_formula_sum 'B4 P16 S12 I12'
_cell_length_a 13.293
_cell_length_b 12.312
_cell_length_c 9.129
_cell_angle_alpha 90.00
_cell_angle_beta 90.00
_cell_angle_gamma 90.00
_space_group_name_H-M_alt 'P n m a'
_space_group_IT_number 62
loop_
_space_group_symop_operation_xyz
'x,y,z'
'-x,-y,-z'
'-x+1/2,-y,z+1/2'
'x+1/2,y,-z+1/2'
'x+1/2,-y+1/2,-z+1/2'
'-x+1/2,y+1/2,z+1/2'
'-x,y+1/2,-z'
'x,-y+1/2,z'
loop_
_atom_site_label
_atom_site_type_symbol
_atom_site_fract_x
_atom_site_fract_y
_atom_site_fract_z
B1 B 0.138 0.250 0.033
P1 P 0.029 0.158 0.520
P2 P 0.113 0.250 0.820
P3 P 0.176 0.250 0.485
S1 S 0.032 0.116 0.744
S2 S 0.244 0.250 0.693
I1 I 0.015 0.750 0.864
I2 I 0.223 0.098 0.080
```

=====

# 3
Diffraction record for Zr6BI12. The X-ray powder pattern is calculated, not measured: it uses a cell relaxed with GGA-PBE and Cu Kα, 1.54184 Å.

Top 6 peaks for 2θ = 10–90°, by angle:
| d [Å] | I_rel | (hkl) |
| --- | --- | --- |
| 8.076 | 19.0 | 1 0 1 |
| 3.388 | 46.8 | 4 -3 1 |
| 2.946 | 100.0 | 3 1 2 |
| 2.097 | 30.4 | 4 -3 4 |
| 2.070 | 32.4 | 2 5 0 |
| 1.775 | 19.1 | 2 5 3 |

Structural model:
```
data_Zr6BI12
_chemical_formula_sum 'Zr18 B3 I36'
_cell_length_a 14.9282
_cell_length_b 14.9282
_cell_length_c 10.3412
_cell_angle_alpha 90.00
_cell_angle_beta 90.00
_cell_angle_gamma 120.00
_space_group_name_H-M_alt 'R -3'
_space_group_IT_number 148
_space_group_name_Hall '-R 3'
loop_
_atom_site_label
_atom_site_type_symbol
_atom_site_fract_x
_atom_site_fract_y
_atom_site_fract_z
Zr1 Zr 0.0403 0.1426 0.3700
B1 B 0.0000 0.0000 0.5000
I1 I 0.0276 0.5870 0.1650
I2 I 0.0500 0.1740 0.8188
```